# 1
The following is a theoretical powder X-ray diffraction pattern of Dy2PaTeO8. It was derived from a PBE-relaxed structure, using Cu Kα (weighted mean of Kα1 and Kα2).

Main lines, sorted by position (2θ from 15° to 90°):
2theta, intensity
24.49, 57
25.34, 51
31.18, 100
35.53, 30
47.50, 41
48.45, 36
58.31, 10
58.77, 11
61.10, 22
65.02, 11

Cell and atoms:
a = 5.057 Å, b = 5.057 Å, c = 6.970 Å
α = 90.00°, β = 90.00°, γ = 91.91°
Fractional coordinates of all 12 atoms:
Dy  0.000  0.000  0.244
Dy  0.000  0.000  0.756
Pa  0.500  0.500  0.500
Te  0.500  0.500  0.000
O  0.201  0.201  0.500
O  0.211  0.211  0.000
O  0.317  0.683  0.237
O  0.317  0.683  0.763
O  0.683  0.317  0.237
O  0.683  0.317  0.763
O  0.789  0.789  0.000
O  0.799  0.799  0.500


# 2
The following is a theoretical powder X-ray diffraction pattern of DyPaTi2O8. It was derived from a PBE-relaxed structure, using Cu Kα (weighted mean of Kα1 and Kα2).

Main lines, sorted by position (2θ from 15° to 90°):
2theta, intensity
19.00, 51
29.38, 100
29.88, 14
34.79, 20
39.93, 19
46.50, 14
48.37, 31
50.02, 15
56.11, 16
59.07, 28

Cell and atoms:
a = 6.603 Å, b = 6.603 Å, c = 6.603 Å
α = 134.02°, β = 134.02°, γ = 67.05°
Fractional coordinates of all 12 atoms:
Dy  0.000  0.000  0.000
Pa  0.750  0.250  0.500
Ti  0.250  0.750  0.500
Ti  0.500  0.500  0.000
O  0.072  0.657  0.063
O  0.155  0.243  0.575
O  0.343  0.406  0.415
O  0.420  0.845  0.089
O  0.594  0.009  0.937
O  0.669  0.580  0.425
O  0.757  0.331  0.911
O  0.991  0.928  0.585


# 3
The following is a theoretical powder X-ray diffraction pattern of DyPbO. It was derived from a PBE-relaxed structure, using Cu Kα (weighted mean of Kα1 and Kα2).

Main lines, sorted by position (2θ from 15° to 90°):
2theta, intensity
25.28, 100
27.80, 82
29.53, 51
29.79, 36
35.89, 72
36.56, 30
37.93, 61
39.26, 36
58.57, 33
59.95, 37

Cell and atoms:
a = 7.045 Å, b = 12.835 Å, c = 3.430 Å
α = 90.00°, β = 90.00°, γ = 90.00°
Fractional coordinates of all 12 atoms:
Dy  0.000  0.000  0.000
Dy  0.000  0.500  0.500
Dy  0.500  0.000  0.500
Dy  0.500  0.500  0.000
Pb  0.000  0.229  0.500
Pb  0.000  0.771  0.500
Pb  0.500  0.271  0.500
Pb  0.500  0.729  0.500
O  0.199  0.500  0.000
O  0.301  0.000  0.000
O  0.699  0.000  0.000
O  0.801  0.500  0.000


# 4
The following is a theoretical powder X-ray diffraction pattern of Pm4Dy2Pb3O2. It was derived from a PBE-relaxed structure, using Cu Kα (weighted mean of Kα1 and Kα2).

Main lines, sorted by position (2θ from 15° to 90°):
2theta, intensity
18.83, 13
27.20, 36
27.80, 14
29.80, 18
33.73, 100
34.94, 14
37.52, 55
52.20, 18
54.10, 19
65.29, 30

Cell and atoms:
a = 13.279 Å, b = 13.279 Å, c = 13.279 Å
α = 159.20°, β = 159.20°, γ = 29.59°
Fractional coordinates of all 11 atoms:
Pm  0.084  0.584  0.500
Pm  0.416  0.916  0.500
Pm  0.584  0.084  0.500
Pm  0.916  0.416  0.500
Dy  0.193  0.193  0.000
Dy  0.807  0.807  0.000
Pb  0.319  0.319  0.000
Pb  0.500  0.500  0.000
Pb  0.681  0.681  0.000
O  0.105  0.105  0.000
O  0.895  0.895  0.000


# 5
The following is a theoretical powder X-ray diffraction pattern of Pr4Dy2Pb3O2. It was derived from a PBE-relaxed structure, using Cu Kα (weighted mean of Kα1 and Kα2).

Main lines, sorted by position (2θ from 15° to 90°):
2theta, intensity
18.56, 14
26.82, 36
27.55, 13
29.40, 19
33.31, 100
34.64, 15
36.96, 56
51.55, 19
53.26, 20
64.28, 31

Cell and atoms:
a = 13.398 Å, b = 13.398 Å, c = 13.398 Å
α = 159.08°, β = 159.08°, γ = 29.75°
Fractional coordinates of all 11 atoms:
Pr  0.085  0.585  0.500
Pr  0.415  0.915  0.500
Pr  0.585  0.085  0.500
Pr  0.915  0.415  0.500
Dy  0.194  0.194  0.000
Dy  0.806  0.806  0.000
Pb  0.318  0.318  0.000
Pb  0.500  0.500  0.000
Pb  0.682  0.682  0.000
O  0.108  0.108  0.000
O  0.892  0.892  0.000


# 6
The following is a theoretical powder X-ray diffraction pattern of DyRePbO6. It was derived from a PBE-relaxed structure, using Cu Kα (weighted mean of Kα1 and Kα2).

Main lines, sorted by position (2θ from 15° to 90°):
2theta, intensity
25.16, 100
31.96, 48
34.64, 11
41.10, 26
47.84, 42
52.99, 27
56.59, 10
56.96, 14
68.41, 11
72.61, 11

Cell and atoms:
a = 5.600 Å, b = 5.600 Å, c = 5.179 Å
α = 90.00°, β = 90.00°, γ = 120.00°
Fractional coordinates of all 9 atoms:
Dy  0.000  0.000  0.000
Re  0.333  0.667  0.000
Pb  0.667  0.333  0.500
O  0.062  0.378  0.209
O  0.062  0.683  0.791
O  0.317  0.378  0.791
O  0.317  0.938  0.209
O  0.622  0.683  0.209
O  0.622  0.938  0.791


# 7
The following is a theoretical powder X-ray diffraction pattern of Sm4Dy2Pb3O2. It was derived from a PBE-relaxed structure, using Cu Kα (weighted mean of Kα1 and Kα2).

Main lines, sorted by position (2θ from 15° to 90°):
2theta, intensity
27.34, 35
27.89, 14
29.94, 18
33.88, 100
35.06, 14
37.70, 54
52.43, 17
54.38, 19
64.46, 14
65.63, 31

Cell and atoms:
a = 13.233 Å, b = 13.233 Å, c = 13.233 Å
α = 159.23°, β = 159.23°, γ = 29.54°
Fractional coordinates of all 11 atoms:
Sm  0.084  0.584  0.500
Sm  0.416  0.916  0.500
Sm  0.584  0.084  0.500
Sm  0.916  0.416  0.500
Dy  0.193  0.193  0.000
Dy  0.807  0.807  0.000
Pb  0.319  0.319  0.000
Pb  0.500  0.500  0.000
Pb  0.681  0.681  0.000
O  0.104  0.104  0.000
O  0.896  0.896  0.000


# 8
The following is a theoretical powder X-ray diffraction pattern of DyTcPbO6. It was derived from a PBE-relaxed structure, using Cu Kα (weighted mean of Kα1 and Kα2).

Main lines, sorted by position (2θ from 15° to 90°):
2theta, intensity
25.36, 100
32.07, 42
41.31, 27
48.28, 38
53.24, 27
57.16, 13
57.34, 10
68.88, 9
72.94, 11
76.43, 9

Cell and atoms:
a = 5.583 Å, b = 5.583 Å, c = 5.111 Å
α = 90.00°, β = 90.00°, γ = 120.00°
Fractional coordinates of all 9 atoms:
Dy  0.000  0.000  0.000
Tc  0.333  0.667  0.000
Pb  0.667  0.333  0.500
O  0.061  0.377  0.213
O  0.061  0.683  0.787
O  0.317  0.377  0.787
O  0.317  0.939  0.213
O  0.623  0.683  0.213
O  0.623  0.939  0.787